Entry 1:
Theoretical powder diffraction line list
Compound: Pm2TmThAs4
Radiation: Cu Kα
Structure: a cell relaxed with PBE

The 10 most intense peaks (2θ from 15° to 90°), low angle first:
Position (°2θ)	I/Imax
25.9	20
30.1	100
43.0	50
43.1	25
50.9	10
53.4	20
62.5	12
70.8	17
71.0	11
78.8	11

Cell and atoms:
Lattice parameters (Å, degrees): 7.258 4.208 7.290 90.00 109.45 90.00
Space group P2/m (No. 10)
Asymmetric unit:
Pm  0.000  0.000  0.000 [1 per cell]
Pm  0.500  0.500  0.000 [1 per cell]
Tm  0.000  0.500  0.500 [1 per cell]
Th  0.500  0.000  0.500 [1 per cell]
As  0.243  0.000  0.742 [2 per cell]
As  0.246  0.500  0.254 [2 per cell]

---

Entry 2:
Theoretical powder diffraction line list
Compound: Pu5Hg2Pd4
Radiation: Cu Kα
Structure: a cell relaxed with PBE

The 10 most intense peaks (2θ from 15° to 90°), low angle first:
Position (°2θ)	I/Imax
26.4	55
27.3	30
34.1	100
34.4	21
37.2	39
37.9	18
39.5	30
46.1	25
60.7	19
72.0	20

Cell and atoms:
Lattice parameters (Å, degrees): 3.937 7.197 19.600 90.00 90.00 90.00
Space group Immm (No. 71)
Asymmetric unit:
Pu  0.000  0.000  0.000 [2 per cell]
Pu  0.000  0.267  0.339 [8 per cell]
Hg  0.000  0.500  0.075 [4 per cell]
Pd  0.000  0.213  0.500 [4 per cell]
Pd  0.000  0.500  0.218 [4 per cell]

---

Entry 3:
Theoretical powder diffraction line list
Compound: Mg7Bi2Pb2
Radiation: Cu Kα
Structure: a cell relaxed with PBE

The 10 most intense peaks (2θ from 15° to 90°), low angle first:
Position (°2θ)	I/Imax
22.1	100
22.7	100
25.5	28
26.1	36
36.4	19
36.8	72
37.9	16
41.7	16
43.3	49
44.3	23

Cell and atoms:
Lattice parameters (Å, degrees): 9.485 9.874 6.979 90.00 90.00 90.00
Space group Cmmm (No. 65)
Asymmetric unit:
Mg  0.000  0.000  0.000 [2 per cell]
Mg  0.000  0.500  0.280 [4 per cell]
Mg  0.250  0.250  0.245 [8 per cell]
Bi  0.218  0.000  0.500 [4 per cell]
Pb  0.000  0.281  0.000 [4 per cell]

---

Entry 4:
Theoretical powder diffraction line list
Compound: Cu8Ni2Pd
Radiation: Cu Kα
Structure: a cell relaxed with PBE

The 10 most intense peaks (2θ from 15° to 90°), low angle first:
Position (°2θ)	I/Imax
33.2	13
38.2	15
44.0	100
44.2	89
46.2	46
46.4	45
60.7	13
67.5	27
83.9	15
84.3	21

Cell and atoms:
Lattice parameters (Å, degrees): 3.916 9.665 7.442 90.00 90.00 90.00
Space group Amm2 (No. 38)
Asymmetric unit:
Cu  0.000  0.000  0.000 [2 per cell]
Cu  0.000  0.000  0.323 [2 per cell]
Cu  0.000  0.244  0.093 [4 per cell]
Cu  0.500  0.128  0.489 [4 per cell]
Cu  0.500  0.144  0.829 [4 per cell]
Ni  0.500  0.120  0.162 [4 per cell]
Pd  0.000  0.000  0.666 [2 per cell]

---

Entry 5:
Theoretical powder diffraction line list
Compound: Pm2Pr5Er5
Radiation: Cu Kα
Structure: a cell relaxed with PBE

The 10 most intense peaks (2θ from 15° to 90°), low angle first:
Position (°2θ)	I/Imax
30.3	100
35.0	34
35.2	17
50.5	30
59.8	7
59.9	14
60.0	7
60.2	14
62.9	6
82.2	12

Cell and atoms:
Lattice parameters (Å, degrees): 15.357 5.097 11.480 90.00 116.65 90.00
Space group C2/m (No. 12)
Asymmetric unit:
Pm  0.083  0.000  0.252 [4 per cell]
Pr  0.000  0.000  0.500 [2 per cell]
Pr  0.165  0.000  0.998 [4 per cell]
Pr  0.249  0.000  0.747 [4 per cell]
Er  0.000  0.500  0.000 [2 per cell]
Er  0.082  0.500  0.748 [4 per cell]
Er  0.167  0.500  0.501 [4 per cell]

---

Entry 6:
Theoretical powder diffraction line list
Compound: V6Cr5
Radiation: Cu Kα
Structure: a cell relaxed with PBE

The 10 most intense peaks (2θ from 15° to 90°), low angle first:
Position (°2θ)	I/Imax
17.0	5
22.9	2
26.7	4
30.5	3
44.3	51
44.4	100
64.4	15
64.8	7
81.5	28
81.9	14

Cell and atoms:
Lattice parameters (Å, degrees): 4.093 5.753 12.283 90.00 90.00 90.00
Space group Immm (No. 71)
Asymmetric unit:
V  0.000  0.244  0.000 [4 per cell]
V  0.000  0.255  0.337 [8 per cell]
Cr  0.000  0.000  0.169 [4 per cell]
Cr  0.000  0.000  0.500 [2 per cell]
Cr  0.000  0.500  0.165 [4 per cell]